The following is a computed PXRD pattern of LiCoNi5. It was derived from a DFT-relaxed cell (GGA-PBE, Alexandria), using CuKα.

Peak list (10 most intense, 2θ from 10° to 90°, in order of falling intensity)
h k l  2theta  intensity
2 4 0  46.7  100
1 1 0  15.1  78
1 3 -2  47.9  51
4 0 0  47.1  45
3 1 -2  45.2  44
1 1 2  44.9  43
2 0 0  23.1  36
1 1 -1  21.5  19
1 1 -2  38.1  15
0 8 0  86.3  13

Structure:
Cell: 8.079 9.022 4.892 Å, 90.00 107.26 90.00°
Space group C2/c (No. 15)
Asymmetric unit:
Li 0.000 0.000 0.000 [4 per cell]
Co 0.000 0.488 0.250 [4 per cell]
Ni 0.000 0.249 0.750 [4 per cell]
Ni 0.228 0.368 0.112 [8 per cell]
Ni 0.234 0.364 0.613 [8 per cell]